This entry pairs a crystal structure of CsAg4Hg3F12 with its theoretical powder XRD pattern. Radiation: Cu Ka. Structure: a GGA-PBE-relaxed structure.

Largest 10 diffraction maxima, sorted by position, 5° ≤ 2θ ≤ 70°:
Position (°2θ)  intensity
14.09  3
19.97  6
28.39  100
34.96  4
40.58  23
45.63  3
50.27  50
58.74  14
62.69  3
66.51  19

a b c (Å): 7.7003 7.7003 7.7003
angles (deg): 109.47 109.47 109.47
Atoms (fractional coordinates):
Cs1 0.0000 0.0000 0.0000
Ag1 0.0000 0.0000 0.5000
Ag2 0.0000 0.5000 0.0000
Ag3 0.5000 0.0000 0.0000
Ag4 0.5000 0.5000 0.5000
Hg1 0.0000 0.5000 0.5000
Hg2 0.5000 0.0000 0.5000
Hg3 0.5000 0.5000 0.0000
F1 0.1409 0.8213 0.3197
F2 0.1787 0.3197 0.4984
F3 0.1787 0.6803 0.8591
F4 0.3197 0.1409 0.8213
F5 0.3197 0.4984 0.1787
F6 0.4984 0.1787 0.3197
F7 0.5016 0.8213 0.6803
F8 0.6803 0.5016 0.8213
F9 0.6803 0.8591 0.1787
F10 0.8213 0.3197 0.1409
F11 0.8213 0.6803 0.5016
F12 0.8591 0.1787 0.6803